The following is a computed powder diffraction line list of Co2NiO6. It was derived from DFT lattice parameters and positions (GGA+U), using Cu Ka.
Intensities are scaled so that the largest is 100.

Structural model:
abc: 8.4839 4.8918 9.7637
angles: 90.00 90.00 90.00
Space group Cmce (No. 64)
Asymmetric unit:
Co  0.1666  0.0000  0.0000 (multiplicity 8)
Ni  0.0000  0.0000  0.5000 (multiplicity 4)
O  0.0000  0.1678  0.0963 (multiplicity 8)
O  0.1660  0.1659  0.4035 (multiplicity 16)

Peak list (10 most intense, 2θ = 10–90°, in order of rising 2θ)
| d_spacing | I (rel.) | hkl |
| --- | --- | --- |
| 4.882 | 100.0 | 0 0 2 |
| 2.444 | 10.3 | 0 2 0 |
| 2.375 | 27.0 | 3 1 1 |
| 2.187 | 18.8 | 0 2 2 |
| 1.956 | 27.1 | 3 1 3 |
| 1.728 | 11.2 | 0 2 4 |
| 1.527 | 14.0 | 3 1 5 |
| 1.398 | 12.4 | 3 3 1 |
| 1.212 | 5.1 | 3 1 7 |
| 1.094 | 5.9 | 6 2 4 |